This entry pairs a crystal structure of BaCdSn2F8 with its calculated powder XRD pattern. Radiation: copper Kα. Structure: a cell relaxed with GGA-PBE.

```
BaCdSn2F8
1.0
6.1790 0.0000 0.0000
0.0000 4.2999 0.0000
-0.0158 0.0000 8.3258
Ba Cd Sn F
1 1 2 8
Direct
0.0000 0.0000 0.0000 Ba
0.0000 0.0000 0.5000 Cd
0.4593 0.5000 0.7376 Sn
0.5407 0.5000 0.2624 Sn
0.1865 0.0000 0.2834 F
0.1979 0.5000 0.5663 F
0.2510 0.5000 0.9525 F
0.3127 0.0000 0.7496 F
0.6873 0.0000 0.2504 F
0.7490 0.5000 0.0475 F
0.8021 0.5000 0.4337 F
0.8135 0.0000 0.7166 F
```

Largest 10 diffraction maxima, by intensity, 2θ = 10–80°:
| h k l | 2θ (°) | Rel. int. |
| --- | --- | --- |
| 1 0 2 | 25.81 | 1000 |
| 1 1 0 | 25.23 | 971 |
| 0 2 0 | 42.04 | 947 |
| 0 1 2 | 29.87 | 348 |
| 1 2 -2 | 49.98 | 329 |
| 1 1 -4 | 50.93 | 288 |
| 2 0 0 | 28.90 | 168 |
| 0 0 4 | 43.48 | 158 |
| 3 1 0 | 49.04 | 148 |
| 2 3 2 | 76.80 | 142 |